No. 1
Structure and simulated X-ray diffraction stick pattern of YHo3Bi3 (DFT lattice parameters and positions (PBE); Cu Kα).
Lines closer than 0.1° are merged.

Unit cell a=8.1723 b=8.1723 c=8.1723 alpha=67.49 beta=67.49 gamma=67.49
Fractional positions:
Y 0.1662 0.1662 0.1662
Y 0.8338 0.8338 0.8338
Ho 0.1645 0.6738 0.4178
Ho 0.3262 0.5822 0.8355
Ho 0.4178 0.1645 0.6738
Ho 0.5822 0.8355 0.3262
Ho 0.6738 0.4178 0.1645
Ho 0.8355 0.3262 0.5822
Bi 0.0229 0.4168 0.8049
Bi 0.1951 0.9771 0.5832
Bi 0.4168 0.8049 0.0229
Bi 0.5832 0.1951 0.9771
Bi 0.8049 0.0229 0.4168
Bi 0.9771 0.5832 0.1951

The 12 most intense peaks (15 to 90 degrees two-theta), in order of falling intensity:
| Position (°2θ) | d [Å] | Rel. int. |
| --- | --- | --- |
| 31.6 | 2.834 | 100 |
| 34.8 | 2.580 | 91 |
| 28.5 | 3.135 | 88 |
| 19.6 | 4.539 | 81 |
| 34.2 | 2.621 | 74 |
| 35.7 | 2.512 | 68 |
| 30.5 | 2.935 | 55 |
| 45.1 | 2.011 | 38 |
| 62.7 | 1.482 | 29 |
| 58.9 | 1.567 | 28 |
| 49.4 | 1.844 | 27 |
| 42.6 | 2.124 | 24 |


No. 2
Structure and simulated X-ray diffraction stick pattern of PrPH5CO7 (DFT lattice parameters and positions (PBE); Cu Kα).
Lines closer than 0.1° are merged.

Unit cell a=6.7669 b=7.1542 c=7.7368 alpha=70.02 beta=84.14 gamma=88.98
Fractional positions:
Pr 0.1339 0.2240 0.0620
Pr 0.8661 0.7760 0.9380
P 0.3242 0.7427 0.0166
P 0.6758 0.2573 0.9834
H 0.1745 0.5168 0.6673
H 0.2905 0.3321 0.6288
H 0.3743 0.7029 0.1977
H 0.4374 0.8301 0.4444
H 0.4674 0.2434 0.3679
H 0.5326 0.7566 0.6321
H 0.5626 0.1699 0.5556
H 0.6257 0.2971 0.8023
H 0.7095 0.6679 0.3712
H 0.8255 0.4832 0.3327
C 0.0687 0.9119 0.4991
C 0.9313 0.0881 0.5009
O 0.0575 0.7604 0.6452
O 0.1802 0.5745 0.0220
O 0.1820 0.9340 0.3529
O 0.1980 0.9342 0.9642
O 0.2061 0.3747 0.7222
O 0.4431 0.2305 0.4989
O 0.4818 0.2395 0.1081
O 0.5182 0.7605 0.8919
O 0.5569 0.7695 0.5011
O 0.7939 0.6253 0.2778
O 0.8020 0.0658 0.0358
O 0.8180 0.0660 0.6471
O 0.8198 0.4255 0.9780
O 0.9425 0.2396 0.3548

The 12 most intense peaks (15 to 90 degrees two-theta), in order of falling intensity:
| Position (°2θ) | d [Å] | Rel. int. |
| --- | --- | --- |
| 29.5 | 3.033 | 100 |
| 24.6 | 3.617 | 47 |
| 26.5 | 3.361 | 45 |
| 25.1 | 3.546 | 41 |
| 19.0 | 4.669 | 39 |
| 18.9 | 4.697 | 33 |
| 18.5 | 4.800 | 25 |
| 49.2 | 1.851 | 22 |
| 28.1 | 3.178 | 22 |
| 32.7 | 2.736 | 21 |
| 41.1 | 2.199 | 21 |
| 47.0 | 1.932 | 20 |


No. 3
Structure and simulated X-ray diffraction stick pattern of Tb2PrRh (DFT lattice parameters and positions (PBE); Cu Kα).
Lines closer than 0.1° are merged.

Unit cell a=6.4188 b=6.4188 c=9.5565 alpha=90.00 beta=90.00 gamma=145.26
Fractional positions:
Tb 0.1409 0.8591 0.5683
Tb 0.1409 0.8591 0.9317
Tb 0.8591 0.1409 0.0683
Tb 0.8591 0.1409 0.4317
Pr 0.4262 0.5738 0.7500
Pr 0.5738 0.4262 0.2500
Rh 0.2608 0.7392 0.2500
Rh 0.7392 0.2608 0.7500

The 12 most intense peaks (15 to 90 degrees two-theta), in order of falling intensity:
| Position (°2θ) | d [Å] | Rel. int. |
| --- | --- | --- |
| 33.4 | 2.682 | 100 |
| 31.7 | 2.826 | 97 |
| 30.8 | 2.905 | 93 |
| 37.4 | 2.402 | 60 |
| 32.0 | 2.795 | 48 |
| 57.9 | 1.592 | 43 |
| 58.2 | 1.586 | 35 |
| 47.4 | 1.916 | 32 |
| 30.7 | 2.917 | 31 |
| 34.8 | 2.579 | 31 |
| 58.5 | 1.578 | 29 |
| 52.8 | 1.732 | 26 |